Record 1
Diffraction record for DyHSe. The PXRD pattern is theoretical, not measured: it uses the PBE geometry in the Materials Project and Cu Kα (λ = 1.5418 Å).
Neutral-atom scattering factors, no anomalous dispersion.

a b c (Å): 3.8443 3.8443 3.9069
angles (deg): 90.00 90.00 120.00
Sites, in units of the cell vectors:
Dy: 0.0000 0.0000 0.0000
H: 0.3333 0.6667 0.0000
Se: 0.6667 0.3333 0.5000

Principal peaks in the range 2θ = 5–70°, sorted by position:
two_theta  d/Å  intensity
22.76  3.907  7.6
26.78  3.329  43.7
35.42  2.534  100.0
46.49  1.953  10.1
47.29  1.922  28.7
53.10  1.725  4.8
54.46  1.685  12.5
55.18  1.665  6.0
60.45  1.531  21.2
68.48  1.370  18.8



Record 2
Diffraction record for Dy2HfS5. The PXRD pattern is theoretical, not measured: it uses the PBE geometry in the Materials Project and Cu Kα (λ = 1.5418 Å).
Neutral-atom scattering factors, no anomalous dispersion.

a b c (Å): 11.5475 7.7354 7.2500
angles (deg): 90.00 90.00 90.00
Sites, in units of the cell vectors:
Dy: 0.1784 0.0025 0.0237
Dy: 0.1784 0.4975 0.0237
Dy: 0.3216 0.5025 0.5237
Dy: 0.3216 0.9975 0.5237
Dy: 0.6784 0.0025 0.4763
Dy: 0.6784 0.4975 0.4763
Dy: 0.8216 0.5025 0.9763
Dy: 0.8216 0.9975 0.9763
Hf: 0.0059 0.7500 0.5755
Hf: 0.4941 0.2500 0.0755
Hf: 0.5059 0.7500 0.9245
Hf: 0.9941 0.2500 0.4245
S: 0.0033 0.7500 0.9466
S: 0.0937 0.0362 0.6610
S: 0.0937 0.4638 0.6610
S: 0.1812 0.7500 0.3329
S: 0.2072 0.2500 0.3117
S: 0.2928 0.7500 0.8117
S: 0.3188 0.2500 0.8329
S: 0.4063 0.5362 0.1610
S: 0.4063 0.9638 0.1610
S: 0.4967 0.2500 0.4466
S: 0.5033 0.7500 0.5534
S: 0.5937 0.0362 0.8390
S: 0.5937 0.4638 0.8390
S: 0.6812 0.7500 0.1671
S: 0.7072 0.2500 0.1883
S: 0.7928 0.7500 0.6883
S: 0.8188 0.2500 0.6671
S: 0.9063 0.5362 0.3390
S: 0.9063 0.9638 0.3390
S: 0.9967 0.2500 0.0534

Principal peaks in the range 2θ = 5–70°, sorted by position:
two_theta  d/Å  intensity
24.56  3.625  48.7
26.21  3.400  100.0
27.25  3.273  68.3
27.76  3.213  60.6
35.14  2.553  24.4
37.40  2.405  64.1
38.93  2.313  24.3
42.19  2.142  15.6
44.25  2.047  19.5
47.00  1.934  29.8
47.54  1.913  45.7
54.60  1.681  28.1